# 1
The following is a simulated powder diffractogram of ZrBeNi. It was derived from a DFT-relaxed cell (GGA-PBE, Alexandria), using copper Kα.

Cell and atoms:
```
data_ZrBeNi
_space_group_name_H-M_alt 'C 1 2/m 1'
_space_group_IT_number 12
_space_group_name_Hall '-C 2y'
_cell_length_a 9.096
_cell_length_b 3.779
_cell_length_c 6.309
_cell_angle_alpha 90.00
_cell_angle_beta 130.36
_cell_angle_gamma 90.00
loop_
_atom_site_label
_atom_site_fract_x
_atom_site_fract_y
_atom_site_fract_z
Zr1 0.061 0.000 0.301
Be1 0.153 0.500 0.710
Ni1 0.184 0.500 0.095
```

Main lines, in order of rising 2θ (2θ from 15° to 90°):
26.9°, I 36; 27.5°, I 20; 37.4°, I 20; 38.6°, I 74; 38.9°, I 100; 39.8°, I 27; 40.8°, I 36; 46.0°, I 28; 48.2°, I 30; 64.9°, I 21

***

# 2
The following is a simulated powder diffractogram of Zr4BeNi3. It was derived from a DFT-relaxed cell (GGA-PBE, Alexandria), using copper Kα.

Cell and atoms:
```
data_Zr4BeNi3
_space_group_name_H-M_alt 'P m m 2'
_space_group_IT_number 25
_space_group_name_Hall 'P 2 -2'
_cell_length_a 3.321
_cell_length_b 4.016
_cell_length_c 10.045
_cell_angle_alpha 90.00
_cell_angle_beta 90.00
_cell_angle_gamma 90.00
loop_
_atom_site_label
_atom_site_fract_x
_atom_site_fract_y
_atom_site_fract_z
Zr1 0.000 0.000 0.000
Zr2 0.000 0.500 0.283
Zr3 0.500 0.000 0.503
Zr4 0.500 0.500 0.787
Be1 0.000 0.000 0.716
Ni1 0.000 0.500 0.572
Ni2 0.500 0.000 0.227
Ni3 0.500 0.500 0.065
```

Main lines, in order of rising 2θ (2θ from 15° to 90°):
28.5°, I 26; 35.8°, I 30; 36.2°, I 100; 38.2°, I 37; 42.5°, I 24; 44.6°, I 49; 45.1°, I 29; 55.3°, I 15; 60.6°, I 18; 88.8°, I 15

***

# 3
The following is a simulated powder diffractogram of Zr2Be15Ni2. It was derived from a DFT-relaxed cell (GGA-PBE, Alexandria), using copper Kα.

Cell and atoms:
```
data_Zr2Be15Ni2
_space_group_name_H-M_alt 'R -3 m'
_space_group_IT_number 166
_space_group_name_Hall '-R 3 2"'
_cell_length_a 7.5870
_cell_length_b 7.5870
_cell_length_c 11.1138
_cell_angle_alpha 90.00
_cell_angle_beta 90.00
_cell_angle_gamma 120.00
loop_
_atom_site_label
_atom_site_fract_x
_atom_site_fract_y
_atom_site_fract_z
Zr1 0.0000 0.0000 0.1566
Be1 0.0000 0.2811 0.5000
Be2 0.0000 0.5000 0.0000
Be3 0.0013 0.5006 0.3416
Ni1 0.0000 0.0000 0.3944
```

Main lines, in order of rising 2θ (2θ from 15° to 90°):
23.5°, I 100; 33.8°, I 17; 35.1°, I 25; 41.2°, I 30; 42.6°, I 18; 48.0°, I 23; 48.3°, I 10; 49.2°, I 22; 60.8°, I 9; 65.1°, I 12

***

# 4
The following is a simulated powder diffractogram of Zr2Be16Ni. It was derived from a DFT-relaxed cell (GGA-PBE, Alexandria), using copper Kα.

Cell and atoms:
```
data_Zr2Be16Ni
_space_group_name_H-M_alt 'R 3 m'
_space_group_IT_number 160
_space_group_name_Hall 'R 3 -2"'
_cell_length_a 7.5563
_cell_length_b 7.5563
_cell_length_c 11.0121
_cell_angle_alpha 90.00
_cell_angle_beta 90.00
_cell_angle_gamma 120.00
loop_
_atom_site_label
_atom_site_fract_x
_atom_site_fract_y
_atom_site_fract_z
Zr1 0.0000 0.0000 0.0000
Zr2 0.0000 0.0000 0.3203
Be1 0.0000 0.0000 0.5596
Be2 0.0002 0.2835 0.6615
Be3 0.0008 0.5004 0.8175
Be4 0.0013 0.5007 0.5023
Be5 0.1673 0.3346 0.4934
Ni1 0.0000 0.0000 0.7561
```

Main lines, in order of rising 2θ (2θ from 15° to 90°):
21.1°, I 14; 23.5°, I 100; 24.2°, I 16; 34.1°, I 51; 35.4°, I 20; 41.4°, I 32; 42.9°, I 15; 48.2°, I 25; 48.5°, I 27; 49.5°, I 17

***

# 5
The following is a simulated powder diffractogram of ZrBe4Ni. It was derived from a DFT-relaxed cell (GGA-PBE, Alexandria), using copper Kα.

Cell and atoms:
```
data_ZrBe4Ni
_space_group_name_H-M_alt 'F -4 3 m'
_space_group_IT_number 216
_space_group_name_Hall 'F -4 2 3'
_cell_length_a 6.403
_cell_length_b 6.403
_cell_length_c 6.403
_cell_angle_alpha 90.00
_cell_angle_beta 90.00
_cell_angle_gamma 90.00
loop_
_atom_site_label
_atom_site_fract_x
_atom_site_fract_y
_atom_site_fract_z
Zr1 0.000 0.000 0.000
Be1 0.125 0.125 0.375
Ni1 0.250 0.250 0.750
```

Main lines, in order of rising 2θ (2θ from 15° to 90°):
24.1°, I 100; 27.9°, I 4; 39.8°, I 97; 47.1°, I 74; 49.3°, I 2; 57.6°, I 11; 63.3°, I 19; 72.3°, I 31; 77.4°, I 21; 85.8°, I 13

***

# 6
The following is a simulated powder diffractogram of Rb2NpBeO4. It was derived from a DFT-relaxed cell (GGA-PBE, Alexandria), using copper Kα.

Cell and atoms:
```
data_Rb2NpBeO4
_space_group_name_H-M_alt 'P m m n'
_space_group_IT_number 59
_cell_length_a 6.070
_cell_length_b 6.970
_cell_length_c 6.820
_cell_angle_alpha 90.00
_cell_angle_beta 90.00
_cell_angle_gamma 90.00
loop_
_space_group_symop_operation_xyz
'x,y,z'
'-x,-y,-z'
'-x+1/2,-y+1/2,z'
'x+1/2,y+1/2,-z'
'x+1/2,-y,-z'
'-x+1/2,y,z'
'-x,y+1/2,-z'
'x,-y+1/2,z'
loop_
_atom_site_label
_atom_site_fract_x
_atom_site_fract_y
_atom_site_fract_z
Rb1 0.250 0.007 0.214
Np1 0.250 0.250 0.679
Be1 0.250 0.750 0.645
O1 0.022 0.750 0.502
O2 0.250 0.539 0.774
```

Main lines, in order of rising 2θ (2θ from 15° to 90°):
18.2°, I 55; 19.4°, I 66; 26.1°, I 32; 29.4°, I 44; 30.1°, I 31; 32.4°, I 100; 34.8°, I 24; 39.8°, I 37; 54.1°, I 24; 57.1°, I 23

***

# 7
The following is a simulated powder diffractogram of Rb2NpBe2O6. It was derived from a DFT-relaxed cell (GGA-PBE, Alexandria), using copper Kα.

Cell and atoms:
```
data_Rb2NpBe2O6
_space_group_name_H-M_alt 'R -3 m'
_space_group_IT_number 166
_space_group_name_Hall '-R 3 2"'
_cell_length_a 5.6081
_cell_length_b 5.6081
_cell_length_c 18.6686
_cell_angle_alpha 90.00
_cell_angle_beta 90.00
_cell_angle_gamma 120.00
loop_
_atom_site_label
_atom_site_fract_x
_atom_site_fract_y
_atom_site_fract_z
Rb1 0.0000 0.0000 0.2108
Np1 0.0000 0.0000 0.0000
Be1 0.0000 0.0000 0.3975
O1 0.0134 0.5067 0.2675
```

Main lines, in order of rising 2θ (2θ from 15° to 90°):
18.9°, I 100; 26.5°, I 53; 30.2°, I 90; 31.9°, I 62; 41.9°, I 32; 43.4°, I 19; 44.5°, I 22; 49.9°, I 19; 55.1°, I 26; 55.8°, I 29

***

# 8
The following is a simulated powder diffractogram of Np3Be2P4. It was derived from a DFT-relaxed cell (GGA-PBE, Alexandria), using copper Kα.

Cell and atoms:
```
data_Np3Be2P4
_space_group_name_H-M_alt 'C 1 2/m 1'
_space_group_IT_number 12
_space_group_name_Hall '-C 2y'
_cell_length_a 12.576
_cell_length_b 3.721
_cell_length_c 8.163
_cell_angle_alpha 90.00
_cell_angle_beta 123.65
_cell_angle_gamma 90.00
loop_
_atom_site_label
_atom_site_fract_x
_atom_site_fract_y
_atom_site_fract_z
Np1 0.000 0.000 0.000
Np2 0.128 0.500 0.712
Be1 0.183 0.500 0.365
P1 0.096 0.000 0.403
P2 0.181 0.500 0.094
```

Main lines, in order of rising 2θ (2θ from 15° to 90°):
21.9°, I 48; 26.4°, I 100; 26.6°, I 52; 29.4°, I 35; 32.2°, I 61; 33.3°, I 43; 35.3°, I 65; 40.2°, I 63; 46.4°, I 39; 69.4°, I 25

***

# 9
The following is a simulated powder diffractogram of Np2BeP3. It was derived from a DFT-relaxed cell (GGA-PBE, Alexandria), using copper Kα.

Cell and atoms:
```
data_Np2BeP3
_space_group_name_H-M_alt 'P n m a'
_space_group_IT_number 62
_space_group_name_Hall '-P 2ac 2n'
_cell_length_a 7.535
_cell_length_b 3.815
_cell_length_c 14.994
_cell_angle_alpha 90.00
_cell_angle_beta 90.00
_cell_angle_gamma 90.00
loop_
_atom_site_label
_atom_site_fract_x
_atom_site_fract_y
_atom_site_fract_z
Np1 0.101 0.250 0.216
Np2 0.248 0.750 0.462
Be1 0.121 0.250 0.636
P1 0.005 0.250 0.398
P2 0.116 0.750 0.075
P3 0.169 0.250 0.780
```

Main lines, in order of rising 2θ (2θ from 15° to 90°):
23.7°, I 37; 24.4°, I 40; 26.5°, I 100; 26.9°, I 88; 29.5°, I 63; 35.6°, I 69; 40.1°, I 33; 47.0°, I 33; 51.6°, I 27; 55.4°, I 28

***

# 10
The following is a simulated powder diffractogram of Np2BePt3. It was derived from a DFT-relaxed cell (GGA-PBE, Alexandria), using copper Kα.

Cell and atoms:
```
data_Np2BePt3
_space_group_name_H-M_alt 'R -3 m'
_space_group_IT_number 166
_space_group_name_Hall '-R 3 2"'
_cell_length_a 5.5711
_cell_length_b 5.5711
_cell_length_c 11.6737
_cell_angle_alpha 90.00
_cell_angle_beta 90.00
_cell_angle_gamma 120.00
loop_
_atom_site_label
_atom_site_fract_x
_atom_site_fract_y
_atom_site_fract_z
Np1 0.0000 0.0000 0.1164
Be1 0.0000 0.0000 0.5000
Pt1 0.0000 0.5000 0.0000
```

Main lines, in order of rising 2θ (2θ from 15° to 90°):
32.1°, I 14; 36.0°, I 57; 38.1°, I 100; 39.8°, I 47; 40.5°, I 40; 43.0°, I 31; 59.8°, I 27; 64.9°, I 19; 67.2°, I 25; 76.3°, I 16

***

# 11
The following is a simulated powder diffractogram of RbNpBeS3. It was derived from a DFT-relaxed cell (GGA-PBE, Alexandria), using copper Kα.

Cell and atoms:
```
data_RbNpBeS3
_space_group_name_H-M_alt 'P 1 21/m 1'
_space_group_IT_number 11
_space_group_name_Hall '-P 2yb'
_cell_length_a 9.268
_cell_length_b 3.900
_cell_length_c 9.287
_cell_angle_alpha 90.00
_cell_angle_beta 109.41
_cell_angle_gamma 90.00
loop_
_atom_site_label
_atom_site_fract_x
_atom_site_fract_y
_atom_site_fract_z
Rb1 0.203 0.250 0.236
Np1 0.333 0.750 0.849
Be1 0.076 0.250 0.604
S1 0.118 0.250 0.837
S2 0.159 0.750 0.530
S3 0.464 0.750 0.158
```

Main lines, in order of rising 2θ (2θ from 15° to 90°):
19.4°, I 33; 20.3°, I 48; 23.5°, I 41; 25.0°, I 72; 25.6°, I 45; 30.1°, I 100; 30.6°, I 63; 30.7°, I 49; 38.6°, I 39; 48.9°, I 37

***

# 12
The following is a simulated powder diffractogram of NpBeSe. It was derived from a DFT-relaxed cell (GGA-PBE, Alexandria), using copper Kα.

Cell and atoms:
```
data_NpBeSe
_space_group_name_H-M_alt 'C m c m'
_space_group_IT_number 63
_space_group_name_Hall '-C 2c 2'
_cell_length_a 3.847
_cell_length_b 14.978
_cell_length_c 4.068
_cell_angle_alpha 90.00
_cell_angle_beta 90.00
_cell_angle_gamma 90.00
loop_
_atom_site_label
_atom_site_fract_x
_atom_site_fract_y
_atom_site_fract_z
Np1 0.000 0.120 0.250
Be1 0.000 0.474 0.250
Se1 0.000 0.326 0.250
```

Main lines, in order of rising 2θ (2θ from 15° to 90°):
23.8°, I 59; 23.9°, I 28; 24.9°, I 44; 32.6°, I 100; 36.9°, I 35; 38.1°, I 34; 42.5°, I 27; 44.3°, I 27; 44.5°, I 18; 51.1°, I 24

***

# 13
The following is a simulated powder diffractogram of BeO. It was derived from a DFT-relaxed cell (GGA-PBE, Alexandria), using copper Kα.

Cell and atoms:
```
data_BeO
_space_group_name_H-M_alt 'P 4/m'
_space_group_IT_number 83
_space_group_name_Hall '-P 4'
_cell_length_a 7.300
_cell_length_b 7.300
_cell_length_c 2.770
_cell_angle_alpha 90.00
_cell_angle_beta 90.00
_cell_angle_gamma 90.00
loop_
_atom_site_label
_atom_site_fract_x
_atom_site_fract_y
_atom_site_fract_z
Be1 0.098 0.381 0.000
Be2 0.137 0.712 0.500
O1 0.113 0.267 0.500
O2 0.144 0.596 0.000
```

Main lines, in order of rising 2θ (2θ from 15° to 90°):
17.2°, I 100; 24.4°, I 11; 27.3°, I 8; 34.6°, I 8; 36.8°, I 10; 39.0°, I 32; 40.9°, I 11; 42.8°, I 32; 56.3°, I 8; 73.3°, I 8